Record 1
Diffraction record for VFe2Se4. The XRD peak list is calculated, not measured: it uses the GGA-PBE geometry in the Materials Project and copper Kα.
No peak broadening, texture or thermal motion is included.

Crystal structure
```
VFe2Se4
1.0
4.875 0.000 0.000
-1.243 4.949 0.000
-2.298 -1.462 5.470
V Fe Se
1 2 4
Cartesian
0.000 0.000 0.000
-0.233 0.532 4.345
2.005 0.156 3.168
-2.305 1.008 5.353
-1.493 4.184 2.413
2.450 0.492 0.715
0.776 2.499 3.328
```

The 10 most intense peaks (2θ = 5–70°), low angle first:
d_spacing  intensity
4.781  36
3.212  55
3.054  66
2.923  45
2.450  55
2.361  100
2.136  47
2.087  67
1.955  54
1.847  42

Record 2
Diffraction record for Sr3Ca. The XRD peak list is calculated, not measured: it uses the GGA-PBE geometry in the Materials Project and copper Kα.
No peak broadening, texture or thermal motion is included.

Crystal structure
```
Sr3Ca
1.0
5.879 0.000 0.000
0.000 5.879 0.000
0.000 0.000 5.879
Sr Ca
3 1
Cartesian
0.000 0.000 2.940
0.000 2.940 0.000
2.940 0.000 0.000
2.940 2.940 2.940
```

The 10 most intense peaks (2θ = 5–70°), low angle first:
d_spacing  intensity
5.879  6
4.157  5
3.394  100
2.940  51
2.629  3
2.079  37
1.773  45
1.697  13
1.470  6
1.349  18

Record 3
Diffraction record for FeRe3N6. The XRD peak list is calculated, not measured: it uses the GGA-PBE geometry in the Materials Project and copper Kα.
No peak broadening, texture or thermal motion is included.

Crystal structure
```
FeRe3N6
1.0
4.801 0.000 0.000
0.000 5.291 0.000
-4.149 0.000 7.586
Fe Re N
2 6 12
Cartesian
0.000 0.000 0.000
-2.075 2.645 3.793
-2.093 0.440 5.600
-0.019 2.205 1.807
0.326 0.000 3.793
2.400 2.645 0.000
0.670 3.086 5.779
2.745 4.851 1.986
-1.321 1.043 3.128
-3.396 1.602 6.921
-0.540 3.596 3.126
-2.615 4.341 6.919
0.955 0.369 1.827
-1.120 2.276 5.620
1.772 3.015 1.966
-0.303 4.922 5.760
3.266 0.950 0.667
1.192 1.695 4.460
4.047 3.689 0.665
1.973 4.248 4.458
```

The 10 most intense peaks (2θ = 5–70°), low angle first:
d_spacing  intensity
4.340  25
3.295  18
2.677  100
2.645  29
2.513  91
2.498  23
2.392  38
2.139  19
1.897  23
1.774  19

Record 4
Diffraction record for MgTe4Mo2W2Se2S2. The XRD peak list is calculated, not measured: it uses the GGA-PBE geometry in the Materials Project and copper Kα.
No peak broadening, texture or thermal motion is included.

Crystal structure
```
MgTe4Mo2W2Se2S2
1.0
3.388 0.000 0.000
1.694 2.934 0.000
0.000 0.001 38.742
Mg Te Mo W Se S
1 4 2 2 2 2
Cartesian
0.000 0.000 0.000
2.099 1.352 6.791
2.099 1.352 10.562
2.099 1.352 21.356
2.099 1.352 25.107
0.405 0.374 23.233
2.099 1.352 30.514
0.405 0.374 8.675
2.099 1.352 15.955
0.405 0.374 28.860
0.405 0.374 32.164
0.405 0.373 14.447
0.405 0.373 17.462
```

The 10 most intense peaks (2θ = 5–70°), low angle first:
d_spacing  intensity
12.914  36
7.748  100
2.932  50
2.744  13
2.509  88
2.424  13
2.091  48
2.013  14
1.694  30
1.404  14

Record 5
Diffraction record for GdMgIn. The XRD peak list is calculated, not measured: it uses the GGA-PBE geometry in the Materials Project and copper Kα.
No peak broadening, texture or thermal motion is included.

Crystal structure
```
GdMgIn
1.0
7.625 0.000 0.000
-3.812 6.603 0.000
0.000 0.000 4.743
Gd Mg In
3 3 3
Cartesian
-1.658 2.871 0.000
3.316 0.000 0.000
2.155 3.732 0.000
-2.895 5.014 2.371
0.917 1.589 2.371
5.790 0.000 2.371
0.000 0.000 0.000
0.000 4.402 2.371
3.812 2.201 2.371
```

The 10 most intense peaks (2θ = 5–70°), low angle first:
d_spacing  intensity
3.812  18
3.302  25
2.971  51
2.710  100
2.496  16
2.371  23
2.209  14
1.831  13
1.708  18
1.426  14

Record 6
Diffraction record for CaEuNbZnO6. The XRD peak list is calculated, not measured: it uses the GGA-PBE geometry in the Materials Project and copper Kα.
No peak broadening, texture or thermal motion is included.

Crystal structure
```
CaEuNbZnO6
1.0
0.000 4.005 4.005
4.005 0.000 4.005
4.005 4.005 0.000
Ca Eu Nb Zn O
1 1 1 1 6
Cartesian
0.000 0.000 0.000
4.005 4.005 4.005
6.007 6.007 6.007
2.002 2.002 2.002
6.007 6.007 4.022
6.007 4.022 6.007
7.993 6.007 6.007
4.022 6.007 6.007
6.007 7.993 6.007
6.007 6.007 7.993
```

The 10 most intense peaks (2θ = 5–70°), low angle first:
d_spacing  intensity
4.624  26
2.832  100
2.415  15
2.312  5
2.002  35
1.838  7
1.635  39
1.541  5
1.416  20
1.354  5

Record 7
Diffraction record for ErIn. The XRD peak list is calculated, not measured: it uses the GGA-PBE geometry in the Materials Project and copper Kα.
No peak broadening, texture or thermal motion is included.

Crystal structure
```
ErIn
1.0
3.733 0.000 0.000
0.000 3.733 0.000
0.000 0.000 3.733
Er In
1 1
Cartesian
0.000 0.000 0.000
1.866 1.866 1.866
```

The 6 most intense peaks (2θ = 5–70°), low angle first:
d_spacing  intensity
3.733  3
2.639  100
2.155  1
1.866  18
1.669  2
1.524  37

Record 8
Diffraction record for BaSrI4. The XRD peak list is calculated, not measured: it uses the GGA-PBE geometry in the Materials Project and copper Kα.
No peak broadening, texture or thermal motion is included.

Crystal structure
```
BaSrI4
1.0
10.939 0.000 0.000
0.000 11.341 0.000
-8.652 0.000 19.144
Ba Sr I
8 8 32
Cartesian
-1.079 2.506 6.967
-5.405 3.164 16.538
-2.896 5.974 12.529
1.430 11.037 2.957
0.856 0.304 16.186
5.183 5.367 6.615
7.691 8.177 2.605
3.365 8.835 12.177
-2.689 0.570 11.258
1.637 5.101 1.686
0.105 7.689 7.999
-4.221 9.323 17.571
6.508 2.018 1.573
2.181 3.652 11.145
0.649 6.240 17.457
4.975 10.771 7.886
0.001 7.810 0.888
-4.325 9.201 10.460
-6.726 0.006 17.214
-2.399 5.665 7.642
-4.177 2.649 13.319
0.149 3.022 3.747
-0.233 8.478 4.826
-4.560 8.534 14.398
-5.197 6.231 18.195
-0.871 10.781 8.624
3.331 2.391 1.106
-0.995 3.279 10.678
2.627 0.581 5.991
-1.699 5.089 15.562
-2.437 1.259 17.387
1.890 4.411 7.815
0.397 6.930 11.329
4.723 10.082 1.757
3.985 6.252 3.581
-0.341 10.760 13.153
3.282 8.062 8.465
-1.045 8.950 18.037
3.157 0.560 10.520
7.484 5.111 0.948
6.846 2.807 4.746
2.520 2.863 14.318
2.137 8.319 15.397
6.464 8.692 5.825
9.012 11.335 1.929
4.686 5.676 11.501
6.611 2.140 8.684
2.285 3.531 18.255
```

The 10 most intense peaks (2θ = 5–70°), low angle first:
d_spacing  intensity
4.794  37
3.699  36
3.632  29
3.566  100
3.484  32
3.253  44
3.063  71
2.968  55
2.591  34
2.494  30

Record 9
Diffraction record for Ce2BPd6. The XRD peak list is calculated, not measured: it uses the GGA-PBE geometry in the Materials Project and copper Kα.
No peak broadening, texture or thermal motion is included.

Crystal structure
```
Ce2BPd6
1.0
4.366 0.000 0.000
0.000 4.366 0.000
0.000 0.000 8.236
Ce B Pd
2 1 6
Cartesian
0.000 0.000 2.029
0.000 0.000 6.207
2.183 2.183 4.118
0.000 2.183 0.000
0.000 2.183 4.118
2.183 0.000 0.000
2.183 0.000 4.118
2.183 2.183 1.957
2.183 2.183 6.279
```

The 8 most intense peaks (2θ = 5–70°), low angle first:
d_spacing  intensity
4.366  1
3.087  1
2.996  1
2.470  100
2.183  36
2.059  15
1.544  12
1.498  21

Record 10
Diffraction record for GdThRu2. The XRD peak list is calculated, not measured: it uses the GGA-PBE geometry in the Materials Project and copper Kα.
No peak broadening, texture or thermal motion is included.

Crystal structure
```
GdThRu2
1.0
0.000 3.492 3.492
3.492 0.000 3.492
3.492 3.492 0.000
Gd Th Ru
1 1 2
Cartesian
0.000 0.000 0.000
3.492 3.492 3.492
1.746 1.746 1.746
5.239 5.239 5.239
```

The 10 most intense peaks (2θ = 5–70°), low angle first:
d_spacing  intensity
4.033  3
3.492  10
2.470  100
2.106  2
2.016  3
1.746  18
1.602  1
1.562  5
1.426  36
1.344  1

Record 11
Diffraction record for ZrPbO3. The XRD peak list is calculated, not measured: it uses the GGA-PBE geometry in the Materials Project and copper Kα.
No peak broadening, texture or thermal motion is included.

Crystal structure
```
ZrPbO3
1.0
4.209 0.000 0.000
0.000 4.209 0.000
0.000 0.000 4.209
Zr Pb O
1 1 3
Cartesian
0.000 0.000 0.000
2.104 2.104 2.104
0.000 0.000 2.104
0.000 2.104 0.000
2.104 0.000 0.000
```

The 8 most intense peaks (2θ = 5–70°), low angle first:
d_spacing  intensity
4.209  12
2.976  100
2.430  13
2.104  29
1.882  7
1.718  42
1.488  18
1.403  4

Record 12
Diffraction record for UCo2. The XRD peak list is calculated, not measured: it uses the GGA-PBE geometry in the Materials Project and copper Kα.
No peak broadening, texture or thermal motion is included.

Crystal structure
```
UCo2
1.0
0.000 3.457 3.457
3.457 0.000 3.457
3.457 3.457 0.000
U Co
2 4
Cartesian
0.864 0.864 0.864
6.050 6.050 6.050
3.457 1.728 1.728
1.728 3.457 1.728
1.728 1.728 3.457
3.457 3.457 3.457
```

The 7 most intense peaks (2θ = 5–70°), low angle first:
d_spacing  intensity
3.992  34
2.444  83
2.085  100
1.996  9
1.728  3
1.586  9
1.411  31